1.
Tb2As6Pd21: simulated powder XRD pattern (a wavelength of 1.5418 Å), based on the GGA-PBE geometry in Alexandria.
Lines closer than 0.1° are merged.

The 10 most intense peaks (2θ = 10–90°), by intensity:
2theta	I (rel.)
37.40	100.0
40.86	53.7
42.82	32.0
48.32	30.0
74.39	29.3
63.14	25.8
35.19	24.2
32.04	19.8
64.60	13.5
43.46	11.9

Cell and atoms:
```
29
Lattice="0.0000 6.2472 6.2472 6.2472 0.0000 6.2472 6.2472 6.2472 0.0000" Properties=species:S:1:pos:R:3 pbc="T T T"
Tb 3.1236 3.1236 3.1236
Tb 9.3708 9.3708 9.3708
As 6.2472 6.2472 2.9791
As 6.2472 2.9791 6.2472
As 9.5154 6.2472 6.2472
As 2.9791 6.2472 6.2472
As 6.2472 9.5154 6.2472
As 6.2472 6.2472 9.5154
Pd 1.4623 1.4623 1.4623
Pd 4.7849 4.7849 1.4623
Pd 4.7849 1.4623 4.7849
Pd 6.2472 4.0695 4.0695
Pd 8.4250 6.2472 4.0695
Pd 8.4250 4.0695 6.2472
Pd 11.0321 7.7095 7.7095
Pd 4.0695 6.2472 4.0695
Pd 6.2472 8.4250 4.0695
Pd 4.0695 4.0695 6.2472
Pd 6.2472 6.2472 6.2472
Pd 8.4250 8.4250 6.2472
Pd 6.2472 4.0695 8.4250
Pd 8.4250 6.2472 8.4250
Pd 1.4623 4.7849 4.7849
Pd 4.0695 8.4250 6.2472
Pd 4.0695 6.2472 8.4250
Pd 6.2472 8.4250 8.4250
Pd 7.7095 11.0321 7.7095
Pd 7.7095 7.7095 11.0321
Pd 11.0321 11.0321 11.0321
```

---

2.
Tb3As4Pd4: simulated powder XRD pattern (a wavelength of 1.5418 Å), based on the GGA-PBE geometry in Alexandria.
Lines closer than 0.1° are merged.

The 10 most intense peaks (2θ = 10–90°), by intensity:
2theta	I (rel.)
33.55	100.0
35.58	79.7
42.96	38.3
42.67	32.1
38.45	27.4
34.29	26.9
38.26	23.1
75.39	21.9
62.15	20.8
46.44	20.0

Cell and atoms:
```
11
Lattice="-2.1055 3.5637 7.0276 2.1055 -3.5637 7.0276 2.1055 3.5637 -7.0276" Properties=species:S:1:pos:R:3 pbc="T T T"
Tb 0.0000 0.0000 0.0000
Tb 2.1055 0.0000 5.2215
Tb 0.0000 3.5637 1.8061
As 0.0000 0.0000 3.0300
As 2.1055 2.1576 0.0000
As 0.0000 1.4061 7.0276
As 0.0000 0.0000 11.0252
Pd 2.1055 1.4270 -2.4163
Pd 2.1055 1.4270 2.4163
Pd 0.0000 2.1367 4.6113
Pd 0.0000 2.1367 9.4439
```

---

3.
Tb3As6Pd20: simulated powder XRD pattern (a wavelength of 1.5418 Å), based on the GGA-PBE geometry in Alexandria.
Lines closer than 0.1° are merged.

The 10 most intense peaks (2θ = 10–90°), by intensity:
2theta	I (rel.)
37.17	100.0
40.61	52.7
73.88	28.7
34.97	26.4
62.73	25.7
42.55	25.6
48.02	24.4
64.17	14.3
31.84	14.1
43.19	13.5

Cell and atoms:
```
29
Lattice="0.0000 6.2842 6.2842 6.2842 0.0000 6.2842 6.2842 6.2842 0.0000" Properties=species:S:1:pos:R:3 pbc="T T T"
Tb 0.0000 0.0000 0.0000
Tb 3.1421 3.1421 3.1421
Tb 9.4263 9.4263 9.4263
As 6.2842 6.2842 3.3294
As 6.2842 3.3294 6.2842
As 9.2390 6.2842 6.2842
As 3.3294 6.2842 6.2842
As 6.2842 9.2390 6.2842
As 6.2842 6.2842 9.2390
Pd 2.1875 2.1875 0.0000
Pd 4.0967 4.0967 0.0000
Pd 2.1875 0.0000 2.1875
Pd 6.2842 4.0967 2.1875
Pd 4.0967 0.0000 4.0967
Pd 6.2842 2.1875 4.0967
Pd 7.7681 4.8003 4.8003
Pd 0.0000 2.1875 2.1875
Pd 4.0967 6.2842 2.1875
Pd 4.0967 2.1875 6.2842
Pd 4.8003 4.8003 4.8003
Pd 7.7681 7.7681 4.8003
Pd 7.7681 4.8003 7.7681
Pd 4.8003 7.7681 4.8003
Pd 4.8003 4.8003 7.7681
Pd 7.7681 7.7681 7.7681
Pd 0.0000 4.0967 4.0967
Pd 2.1875 6.2842 4.0967
Pd 2.1875 4.0967 6.2842
Pd 4.8003 7.7681 7.7681
```

---

4.
TbTe2As2Pd7: simulated powder XRD pattern (a wavelength of 1.5418 Å), based on the GGA-PBE geometry in Alexandria.
Lines closer than 0.1° are merged.

The 10 most intense peaks (2θ = 10–90°), by intensity:
2theta	I (rel.)
45.00	100.0
36.26	98.5
43.75	83.7
33.64	45.3
31.97	44.6
39.69	44.6
48.36	39.9
29.68	39.3
63.27	36.6
11.76	34.8

Cell and atoms:
```
12
Lattice="2.8491 -2.8483 0.0000 2.8491 2.8483 0.0000 -2.8320 0.0000 15.0484" Properties=species:S:1:pos:R:3 pbc="T T T"
Tb 0.0000 0.0000 0.0000
Te 0.0036 0.0000 6.2973
Te 2.8628 0.0000 8.7511
As 0.0133 0.0000 11.4383
As 2.8530 0.0000 3.6101
Pd 1.4275 1.4236 2.1673
Pd 0.0148 0.0000 8.9934
Pd 1.4388 1.4236 12.8811
Pd 2.8491 0.0000 0.0000
Pd 1.4275 -1.4236 2.1673
Pd 2.8515 0.0000 6.0550
Pd 1.4388 -1.4236 12.8811
```